# 1
This entry pairs a crystal structure of Ca3Ga4Ag4 with its theoretical X-ray powder pattern. Radiation: Cu Kα. Structure: the PBE geometry in Alexandria.
Kinematic intensities with the Lorentz-polarization factor, no thermal factor.

Top 6 peaks for 15° ≤ 2θ ≤ 90°, sorted by position:
(hkl)	d_spacing	2θ/deg	I/Imax
1 0 0	3.575	24.91	99
1 0 -3	2.718	32.96	98
1 1 -1	2.646	33.88	86
0 2 1	2.301	39.15	100
0 1 -5	2.294	39.28	81
0 1 6	2.279	39.54	76

Structure:
```
data_Ca3Ga4Ag4
_cell_length_a 3.6023
_cell_length_b 4.6025
_cell_length_c 14.7647
_cell_angle_alpha 81.44
_cell_angle_beta 83.05
_cell_angle_gamma 89.95
_space_group_name_H-M_alt 'P -1'
_space_group_IT_number 2
loop_
_space_group_symop_operation_xyz
'x,y,z'
'-x,-y,-z'
loop_
_atom_site_label
_atom_site_type_symbol
_atom_site_fract_x
_atom_site_fract_y
_atom_site_fract_z
_atom_site_occupancy
Ca1 Ca 0.0000 0.0000 0.0000 1
Ca2 Ca 0.1429 0.6397 0.7137 1
Ga1 Ga 0.2613 0.2637 0.4802 1
Ga2 Ga 0.4052 0.9085 0.1892 1
Ag1 Ag 0.3129 0.8173 0.3746 1
Ag2 Ag 0.4504 0.4517 0.0988 1
```

***

# 2
This entry pairs a crystal structure of SrLa2Re2N6 with its theoretical X-ray powder pattern. Radiation: Cu Kα. Structure: the PBE geometry in Alexandria.
Kinematic intensities with the Lorentz-polarization factor, no thermal factor.

Top 6 peaks for 15° ≤ 2θ ≤ 90°, sorted by position:
(hkl)	d_spacing	2θ/deg	I/Imax
0 1 5	3.065	29.14	100
1 1 0	2.934	30.47	90
2 0 5	2.119	42.66	42
1 0 10	1.797	50.80	20
1 2 5	1.718	53.33	38
3 0 0	1.694	54.15	18

Structure:
```
data_SrLa2Re2N6
_cell_length_a 5.8674
_cell_length_b 5.8674
_cell_length_c 19.2143
_cell_angle_alpha 90.00
_cell_angle_beta 90.00
_cell_angle_gamma 120.00
_space_group_name_H-M_alt 'R -3 m'
_space_group_IT_number 166
_space_group_name_Hall '-R 3 2"'
loop_
_atom_site_label
_atom_site_type_symbol
_atom_site_fract_x
_atom_site_fract_y
_atom_site_fract_z
_atom_site_occupancy
Sr1 Sr 0.0000 0.0000 0.0000 1
La1 La 0.0000 0.0000 0.2056 1
Re1 Re 0.0000 0.0000 0.4081 1
N1 N 0.0041 0.5021 0.7688 1
```

***

# 3
This entry pairs a crystal structure of PaPd14Au with its theoretical X-ray powder pattern. Radiation: Cu Kα. Structure: the PBE geometry in Alexandria.
Kinematic intensities with the Lorentz-polarization factor, no thermal factor.

Top 6 peaks for 15° ≤ 2θ ≤ 90°, sorted by position:
(hkl)	d_spacing	2θ/deg	I/Imax
2 0 2	2.317	38.87	100
2 2 0	2.033	44.56	34
0 0 4	1.955	46.44	15
2 2 4	1.409	66.32	20
4 2 2	1.222	78.26	25
2 0 6	1.187	80.98	12

Structure:
```
data_PaPd14Au
_cell_length_a 5.7511
_cell_length_b 5.7511
_cell_length_c 7.8213
_cell_angle_alpha 90.00
_cell_angle_beta 90.00
_cell_angle_gamma 90.00
_space_group_name_H-M_alt 'P 4/m m m'
_space_group_IT_number 123
_space_group_name_Hall '-P 4 2'
loop_
_atom_site_label
_atom_site_type_symbol
_atom_site_fract_x
_atom_site_fract_y
_atom_site_fract_z
_atom_site_occupancy
Pa1 Pa 0.0000 0.0000 0.0000 1
Pd1 Pd 0.0000 0.0000 0.5000 1
Pd2 Pd 0.0000 0.5000 0.0000 1
Pd3 Pd 0.0000 0.5000 0.5000 1
Pd4 Pd 0.2480 0.2480 0.2516 1
Pd5 Pd 0.5000 0.5000 0.5000 1
Au1 Au 0.5000 0.5000 0.0000 1
```

***

# 4
This entry pairs a crystal structure of Ta3Nb3Au with its theoretical X-ray powder pattern. Radiation: Cu Kα. Structure: the PBE geometry in Alexandria.
Kinematic intensities with the Lorentz-polarization factor, no thermal factor.

Top 6 peaks for 15° ≤ 2θ ≤ 90°, sorted by position:
(hkl)	d_spacing	2θ/deg	I/Imax
2 1 -2	2.359	38.15	34
0 1 -3	2.337	38.53	35
2 0 1	2.335	38.56	100
0 3 -2	2.327	38.70	34
2 3 -1	1.655	55.52	12
2 2 -5	1.359	69.13	12

Structure:
```
data_Ta3Nb3Au
_cell_length_a 5.7515
_cell_length_b 7.1648
_cell_length_c 7.2123
_cell_angle_alpha 118.01
_cell_angle_beta 98.52
_cell_angle_gamma 97.14
_space_group_name_H-M_alt 'P -1'
_space_group_IT_number 2
loop_
_space_group_symop_operation_xyz
'x,y,z'
'-x,-y,-z'
loop_
_atom_site_label
_atom_site_type_symbol
_atom_site_fract_x
_atom_site_fract_y
_atom_site_fract_z
_atom_site_occupancy
Ta1 Ta 0.0482 0.2883 0.4337 1
Ta2 Ta 0.2416 0.9924 0.9973 1
Ta3 Ta 0.3826 0.1503 0.7258 1
Nb1 Nb 0.1086 0.8582 0.2863 1
Nb2 Nb 0.1774 0.4227 0.1383 1
Nb3 Nb 0.3193 0.5734 0.8603 1
Au1 Au 0.4579 0.7241 0.5745 1
```